The following is a computed powder X-ray diffraction pattern of HgS2I2N4. It was derived from the GGA-PBE geometry in the Materials Project, using λ = 1.5418 Å (Cu Kα).
No peak broadening, texture or thermal motion is included.

The 10 most intense peaks (15° ≤ 2θ ≤ 90°), most intense first:
index, 2θ (°), intensity
2 0 1, 20.30, 100
1 1 2, 19.03, 100
2 1 2, 25.33, 95
2 1 4, 34.62, 85
4 0 2, 41.28, 74
2 0 0, 19.15, 67
2 1 6, 46.52, 62
2 0 3, 27.87, 55
3 1 0, 30.50, 50
3 2 4, 44.58, 49

Structure:
Unit cell a=9.2690 b=9.2690 c=13.2773 alpha=90.00 beta=90.00 gamma=90.00
Space group P4_2/nmc (No. 137, origin choice 2)
Unique sites:
Hg 0.2500 0.2500 0.0376 (multiplicity 4)
S 0.1028 0.7500 0.1764 (multiplicity 8)
I 0.0132 0.7500 0.5474 (multiplicity 8)
N 0.0630 0.2500 0.1633 (multiplicity 8)
N 0.1092 0.6092 0.2500 (multiplicity 8)